For AcFePb2O4, a cell relaxed with GGA+U gives the simulated X-ray diffraction stick pattern in this record (Cu Kα (weighted mean of Kα1 and Kα2)).
No peak broadening, texture or thermal motion is included.

Structure:
```
data_AcFePb2O4
_space_group_name_H-M_alt 'C m c m'
_space_group_IT_number 63
_space_group_name_Hall '-C 2c 2'
_cell_length_a 3.5013
_cell_length_b 12.5775
_cell_length_c 13.3734
_cell_angle_alpha 90.00
_cell_angle_beta 90.00
_cell_angle_gamma 90.00
loop_
_atom_site_label
_atom_site_type_symbol
_atom_site_fract_x
_atom_site_fract_y
_atom_site_fract_z
Ac1 Ac 0.0000 0.0429 0.2500
Fe1 Fe 0.0000 0.2217 0.7500
Pb1 Pb 0.0000 0.3649 0.0159
O1 O 0.0000 0.0000 0.0000
O2 O 0.0000 0.3580 0.6551
O3 O 0.0000 0.3687 0.2500
```

Most intense lines, 10 to 90 degrees two-theta, by angle:
Position (°2θ)  I_rel  index
19.4  17  0 2 2
26.7  72  0 0 4
29.7  100  1 1 2
31.4  51  0 4 2
33.3  52  1 3 0
34.0  19  1 3 1
43.2  42  1 3 4
48.0  16  1 3 5
49.0  34  1 1 6
62.3  16  2 4 2